(1)
Calculated powder XRD pattern
Compound: MgAu3
Radiation: Cu Kα, 1.54184 Å
Structure: a crystal structure in the Materials Project, relaxed with GGA-PBE
Neutral-atom scattering factors, no anomalous dispersion.

Peak list (12 most intense, 2θ from 10° to 90°, most intense first)
| 2θ/deg | intensity | index |
| --- | --- | --- |
| 37.54 | 100 | 1 1 1 |
| 43.62 | 49 | 2 0 0 |
| 76.07 | 40 | 3 1 1 |
| 63.40 | 33 | 2 2 0 |
| 21.41 | 23 | 1 0 0 |
| 30.46 | 20 | 1 1 0 |
| 80.12 | 12 | 2 2 2 |
| 49.09 | 11 | 2 1 0 |
| 54.14 | 8 | 2 1 1 |
| 67.74 | 5 | 3 0 0 |
| 88.07 | 5 | 3 2 1 |
| 71.96 | 4 | 3 1 0 |

Crystal structure
```
data_MgAu3
_space_group_name_H-M_alt 'P m -3 m'
_space_group_IT_number 221
_space_group_name_Hall '-P 4 2 3'
_cell_length_a 4.1496
_cell_length_b 4.1496
_cell_length_c 4.1496
_cell_angle_alpha 90.00
_cell_angle_beta 90.00
_cell_angle_gamma 90.00
loop_
_atom_site_label
_atom_site_fract_x
_atom_site_fract_y
_atom_site_fract_z
Mg1 0.0000 0.0000 0.0000
Au1 0.0000 0.5000 0.5000
```

(2)
Calculated powder XRD pattern
Compound: MgAu2
Radiation: Cu Kα, 1.54184 Å
Structure: a crystal structure in the Materials Project, relaxed with GGA-PBE
Neutral-atom scattering factors, no anomalous dispersion.

Peak list (12 most intense, 2θ from 10° to 90°, most intense first)
| 2θ/deg | intensity | index |
| --- | --- | --- |
| 39.88 | 100 | 3 1 1 |
| 27.33 | 51 | 1 1 1 |
| 36.47 | 35 | 0 0 2 |
| 35.93 | 25 | 0 2 0 |
| 67.93 | 21 | 3 1 3 |
| 20.03 | 19 | 2 0 0 |
| 52.13 | 18 | 0 2 2 |
| 40.47 | 17 | 0 2 1 |
| 76.12 | 11 | 3 3 2 |
| 67.25 | 9 | 3 3 1 |
| 77.49 | 9 | 0 0 4 |
| 74.93 | 9 | 6 0 2 |

Crystal structure
```
data_MgAu2
_space_group_name_H-M_alt 'C m c m'
_space_group_IT_number 63
_space_group_name_Hall '-C 2c 2'
_cell_length_a 8.8672
_cell_length_b 4.9982
_cell_length_c 4.9272
_cell_angle_alpha 90.00
_cell_angle_beta 90.00
_cell_angle_gamma 90.00
loop_
_atom_site_label
_atom_site_fract_x
_atom_site_fract_y
_atom_site_fract_z
Mg1 0.0000 0.2082 0.2500
Au1 0.1613 0.2975 0.7500
```

(3)
Calculated powder XRD pattern
Compound: MgAu2
Radiation: Cu Kα, 1.54184 Å
Structure: a crystal structure in the Materials Project, relaxed with GGA-PBE
Neutral-atom scattering factors, no anomalous dispersion.

Peak list (12 most intense, 2θ from 10° to 90°, most intense first)
| 2θ/deg | intensity | index |
| --- | --- | --- |
| 37.24 | 100 | 4 0 -2 |
| 38.02 | 100 | 1 1 -2 |
| 40.75 | 82 | 3 1 0 |
| 25.83 | 55 | 0 0 2 |
| 30.50 | 39 | 1 1 0 |
| 72.87 | 29 | 4 2 -2 |
| 18.57 | 29 | 2 0 0 |
| 54.58 | 24 | 5 1 -2 |
| 49.27 | 20 | 2 0 -4 |
| 65.74 | 20 | 5 1 -4 |
| 37.64 | 18 | 4 0 0 |
| 71.32 | 15 | 7 1 -2 |

Crystal structure
```
data_MgAu2
_space_group_name_H-M_alt 'C 1 2/m 1'
_space_group_IT_number 12
_cell_length_a 10.2575
_cell_length_b 3.0790
_cell_length_c 7.3980
_cell_angle_alpha 90.00
_cell_angle_beta 111.27
_cell_angle_gamma 90.00
loop_
_space_group_symop_operation_xyz
'x,y,z'
'-x,-y,-z'
'-x,y,-z'
'x,-y,z'
'x+1/2,y+1/2,z'
'-x+1/2,-y+1/2,-z'
'-x+1/2,y+1/2,-z'
'x+1/2,-y+1/2,z'
loop_
_atom_site_label
_atom_site_fract_x
_atom_site_fract_y
_atom_site_fract_z
Mg1 0.0185 0.0000 0.2682
Au1 0.1500 0.5000 0.0558
Au2 0.1648 0.5000 0.6000
```